Computed PXRD pattern
Compound: Na2Zr2Si2SO12
Radiation: Cu Kα X-rays
Structure: a PBE-relaxed structure

Main lines, by angle (2θ = 10–80°):
- 2θ = 13.55°, rel. 297, (1 1 -1)
- 2θ = 18.97°, rel. 827, (2 0 -2)
- 2θ = 19.45°, rel. 883, (3 1 -1)
- 2θ = 22.62°, rel. 653, (0 2 1)
- 2θ = 27.30°, rel. 461, (4 0 0)
- 2θ = 30.29°, rel. 1000, (3 1 1)
- 2θ = 33.74°, rel. 210, (5 1 -3)
- 2θ = 34.02°, rel. 491, (3 3 -1)
- 2θ = 46.21°, rel. 250, (6 2 0)
- 2θ = 49.75°, rel. 275, (5 1 -5)

Structural model:
Cell lengths 15.7919, 9.1424, 9.3669 Å; angles 90.00, 124.33, 90.00 degrees
Space group Cc (No. 9)
Symmetry-distinct sites (fractional):
Na  0.0000  0.0588  0.0000
Na  0.0778  0.2509  0.7399
Zr  0.2085  0.2493  0.1781
Zr  0.4082  0.2592  0.7955
Si  0.1618  0.1036  0.4807
Si  0.3083  0.4570  0.9872
S  0.4571  0.1026  0.4891
O  0.0447  0.3218  0.0002
O  0.0644  0.1812  0.4711
O  0.1512  0.0748  0.9989
O  0.1581  0.1338  0.3038
O  0.2311  0.3523  0.0029
O  0.2469  0.4319  0.3227
O  0.2698  0.1680  0.6477
O  0.3647  0.1681  0.3329
O  0.3851  0.4431  0.6608
O  0.3904  0.3586  0.9708
O  0.4583  0.1312  0.6439
O  0.4633  0.0549  0.9691